No. 1
For TbHoAg6, a cell relaxed with GGA-PBE gives the theoretical X-ray powder pattern in this record (Cu Kα, 1.54184 Å).
Lines closer than 0.1° are merged.

Principal peaks in the range 5 to 70 degrees two-theta, by angle:
two_theta  d [Å]  I (rel.)
35.76  2.511  100
40.16  2.246  18
40.32  2.237  18
44.03  2.057  14
58.21  1.585  12
61.11  1.516  15

Cell and atoms:
```
8
Lattice="4.6770 -2.2456 0.0000 4.6770 2.2456 0.0000 -4.2593 0.0000 7.8698" Properties=species:S:1:pos:R:3 pbc="T T T"
Tb 0.0000 0.0000 0.0000
Ho -2.1296 0.0000 3.9349
Ag -1.3791 0.0000 6.8728
Ag 0.7445 0.0000 2.9658
Ag 3.5994 0.0000 1.9733
Ag 1.4953 0.0000 5.8966
Ag 4.3501 0.0000 4.9041
Ag 6.4738 0.0000 0.9970
```

---

No. 2
For AcGa6Ge2, a cell relaxed with GGA-PBE gives the theoretical X-ray powder pattern in this record (Cu Kα, 1.54184 Å).
Lines closer than 0.1° are merged.

Principal peaks in the range 5 to 70 degrees two-theta, by angle:
two_theta  d [Å]  I (rel.)
27.26  3.271  27
29.77  3.001  29
33.97  2.639  100
34.46  2.602  32
40.38  2.234  59
69.33  1.355  25

Cell and atoms:
```
9
Lattice="4.4675 0.0000 0.0000 0.0000 4.4675 0.0000 0.0000 0.0000 9.6047" Properties=species:S:1:pos:R:3 pbc="T T T"
Ac 0.0000 0.0000 0.0000
Ga 0.0000 0.0000 4.8023
Ga 0.0000 2.2337 2.8936
Ga 0.0000 2.2337 6.7111
Ga 2.2337 0.0000 2.8936
Ga 2.2337 0.0000 6.7111
Ga 2.2337 2.2337 4.8023
Ge 2.2337 2.2337 1.2598
Ge 2.2337 2.2337 8.3449
```